Simulated X-ray powder pattern of HgPdO for Cu Kα, 1.54184 Å, from a crystal structure in Alexandria, relaxed with PBE.
No peak broadening, texture or thermal motion is included.

Structural model:
```
data_HgPdO
_chemical_formula_sum 'Hg3 Pd3 O3'
_cell_length_a 5.3093
_cell_length_b 5.3093
_cell_length_c 7.0683
_cell_angle_alpha 90.00
_cell_angle_beta 90.00
_cell_angle_gamma 120.00
_space_group_name_H-M_alt 'P 32'
_space_group_IT_number 145
loop_
_space_group_symop_operation_xyz
'x,y,z'
'-y,x-y,z+2/3'
'-x+y,-x,z+1/3'
loop_
_atom_site_label
_atom_site_type_symbol
_atom_site_fract_x
_atom_site_fract_y
_atom_site_fract_z
_atom_site_occupancy
Hg1 Hg 0.1674 0.4037 0.0000 1
Pd1 Pd 0.0021 0.8169 0.9541 1
O1 O 0.3563 0.0103 0.7897 1
```

Most intense lines, 10 to 90 degrees two-theta, in order of rising 2θ:
two_theta, Rel. int.
19.3, 74
23.1, 84
31.9, 85
36.1, 100
38.2, 33
41.3, 37
42.6, 64
54.4, 37